Theoretical powder XRD pattern
Compound: Ce2In8Co
Radiation: a wavelength of 1.5418 Å
Structure: a crystal structure in the Materials Project, relaxed with PBE
Peak positions follow from Bragg's law for the DFT cell and can differ from measured ones.

Structural model:
Cell: 4.663 4.663 12.346 Å, 90.00 90.00 90.00°
Space group P4/mmm (No. 123)
Symmetry-distinct sites (fractional):
Ce (0.000, 0.000, 0.196) [2 per cell]
In (0.000, 0.500, 0.000) [2 per cell]
In (0.000, 0.500, 0.383) [4 per cell]
In (0.500, 0.500, 0.194) [2 per cell]
Co (0.000, 0.000, 0.500) [1 per cell]

Top 12 peaks for 10 to 90 degrees two-theta, by intensity:
| hkl | 2θ (°) | d_spacing | I (rel.) |
| --- | --- | --- | --- |
| 1 1 3 | 34.87 | 2.573 | 100.0 |
| 2 0 0 | 38.62 | 2.332 | 59.2 |
| 1 1 2 | 30.74 | 2.908 | 50.8 |
| 2 0 5 | 54.10 | 1.695 | 31.1 |
| 3 1 3 | 67.47 | 1.388 | 27.7 |
| 0 0 5 | 36.39 | 2.469 | 25.0 |
| 2 2 0 | 55.76 | 1.649 | 20.0 |
| 1 1 8 | 66.95 | 1.398 | 16.1 |
| 2 2 5 | 68.42 | 1.371 | 15.3 |
| 3 1 2 | 65.03 | 1.434 | 11.5 |
| 1 1 4 | 40.01 | 2.253 | 9.9 |
| 1 1 1 | 28.01 | 3.186 | 8.5 |